Starting from a crystal structure in Alexandria, relaxed with GGA-PBE, the powder X-ray diffraction pattern of LuHfGaPd was calculated for Cu Kα (λ = 1.5418 Å).
No peak broadening, texture or thermal motion is included.

Principal peaks in the range 2θ = 5–70°, in order of falling intensity:
d = 2.407 Å, intensity 1000; d = 1.389 Å, intensity 353; d = 1.702 Å, intensity 174; d = 3.403 Å, intensity 122; d = 1.522 Å, intensity 51; d = 1.965 Å, intensity 37; d = 3.930 Å, intensity 11; d = 2.052 Å, intensity 5

Cell and atoms:
abc: 6.8068 6.8068 6.8068
angles: 90.00 90.00 90.00
Space group F-43m (No. 216)
Symmetry-distinct sites (fractional):
Lu 0.0000 0.0000 0.0000 [4 per cell]
Hf 0.0000 0.0000 0.5000 [4 per cell]
Ga 0.2500 0.2500 0.7500 [4 per cell]
Pd 0.2500 0.2500 0.2500 [4 per cell]

***

Starting from a crystal structure in Alexandria, relaxed with GGA-PBE, the powder X-ray diffraction pattern of HfMgGa4 was calculated for Cu Kα (λ = 1.5418 Å).
No peak broadening, texture or thermal motion is included.

Principal peaks in the range 2θ = 5–70°, in order of falling intensity:
d = 2.423 Å, intensity 1000; d = 1.970 Å, intensity 562; d = 2.435 Å, intensity 436; d = 2.294 Å, intensity 422; d = 2.332 Å, intensity 375; d = 7.306 Å, intensity 345; d = 4.663 Å, intensity 227; d = 1.543 Å, intensity 181; d = 1.469 Å, intensity 179; d = 3.071 Å, intensity 172

Cell and atoms:
abc: 5.2558 5.6719 7.4495
angles: 90.00 101.28 90.00
Space group P2_1/m (No. 11)
Symmetry-distinct sites (fractional):
Hf 0.1923 0.2500 0.1755 [2 per cell]
Mg 0.0000 0.0000 0.5000 [2 per cell]
Ga 0.1306 0.7500 0.1756 [2 per cell]
Ga 0.3188 0.5142 0.8519 [4 per cell]
Ga 0.4841 0.2500 0.5579 [2 per cell]

***

Starting from a crystal structure in Alexandria, relaxed with GGA-PBE, the powder X-ray diffraction pattern of Hf5Mn2Ga was calculated for Cu Kα (λ = 1.5418 Å).
No peak broadening, texture or thermal motion is included.

Principal peaks in the range 2θ = 5–70°, in order of falling intensity:
d = 2.482 Å, intensity 1000; d = 2.171 Å, intensity 452; d = 2.327 Å, intensity 406; d = 2.983 Å, intensity 317; d = 2.651 Å, intensity 217; d = 1.441 Å, intensity 197; d = 1.558 Å, intensity 158; d = 1.549 Å, intensity 154; d = 2.110 Å, intensity 129; d = 2.427 Å, intensity 128

Cell and atoms:
abc: 6.8645 6.8645 12.6583
angles: 90.00 90.00 90.00
Space group I4/mcm (No. 140)
Symmetry-distinct sites (fractional):
Hf 0.0000 0.0000 0.0000 [4 per cell]
Hf 0.1651 0.3349 0.1466 [16 per cell]
Mn 0.1123 0.3877 0.5000 [8 per cell]
Ga 0.0000 0.0000 0.2500 [4 per cell]

***

Starting from a crystal structure in Alexandria, relaxed with GGA-PBE, the powder X-ray diffraction pattern of HfMn6Ga6 was calculated for Cu Kα (λ = 1.5418 Å).
No peak broadening, texture or thermal motion is included.

Principal peaks in the range 2θ = 5–70°, in order of falling intensity:
d = 2.141 Å, intensity 1000; d = 2.487 Å, intensity 615; d = 2.174 Å, intensity 431; d = 2.127 Å, intensity 424; d = 2.163 Å, intensity 417; d = 2.103 Å, intensity 401; d = 2.522 Å, intensity 325; d = 1.931 Å, intensity 319; d = 2.450 Å, intensity 272; d = 2.665 Å, intensity 252

Cell and atoms:
abc: 5.0436 8.4104 8.5747
angles: 90.00 90.00 90.00
Space group Immm (No. 71)
Symmetry-distinct sites (fractional):
Hf 0.0000 0.0000 0.0000 [2 per cell]
Mn 0.0000 0.2581 0.5000 [4 per cell]
Mn 0.2500 0.2500 0.2500 [8 per cell]
Ga 0.0000 0.0000 0.3425 [4 per cell]
Ga 0.0000 0.3318 0.0000 [4 per cell]
Ga 0.0000 0.5000 0.3241 [4 per cell]

***

Starting from a crystal structure in Alexandria, relaxed with GGA-PBE, the powder X-ray diffraction pattern of Hf2Mn3Ga4 was calculated for Cu Kα (λ = 1.5418 Å).
No peak broadening, texture or thermal motion is included.

Principal peaks in the range 2θ = 5–70°, in order of falling intensity:
d = 2.374 Å, intensity 1000; d = 2.189 Å, intensity 770; d = 2.309 Å, intensity 746; d = 2.405 Å, intensity 630; d = 2.555 Å, intensity 497; d = 2.160 Å, intensity 445; d = 2.242 Å, intensity 388; d = 1.440 Å, intensity 319; d = 4.182 Å, intensity 243; d = 1.682 Å, intensity 243

Cell and atoms:
abc: 5.4590 14.1270 7.3279
angles: 90.00 90.00 90.00
Space group Cmce (No. 64)
Symmetry-distinct sites (fractional):
Hf 0.0000 0.1170 0.0891 [8 per cell]
Mn 0.0000 0.0000 0.5000 [4 per cell]
Mn 0.2500 0.2199 0.7500 [8 per cell]
Ga 0.0000 0.1796 0.4615 [8 per cell]
Ga 0.2500 0.0447 0.7500 [8 per cell]

***

Starting from a crystal structure in Alexandria, relaxed with GGA-PBE, the powder X-ray diffraction pattern of Hf3MnGa4 was calculated for Cu Kα (λ = 1.5418 Å).
No peak broadening, texture or thermal motion is included.

Principal peaks in the range 2θ = 5–70°, in order of falling intensity:
d = 2.340 Å, intensity 1000; d = 2.493 Å, intensity 999; d = 1.966 Å, intensity 471; d = 2.262 Å, intensity 391; d = 4.524 Å, intensity 270; d = 2.285 Å, intensity 232; d = 1.528 Å, intensity 220; d = 1.992 Å, intensity 191; d = 1.484 Å, intensity 171; d = 4.051 Å, intensity 158

Cell and atoms:
abc: 2.9463 5.4681 18.0947
angles: 90.00 90.00 90.00
Space group Immm (No. 71)
Symmetry-distinct sites (fractional):
Hf 0.0000 0.0000 0.0000 [2 per cell]
Hf 0.0000 0.5000 0.2417 [4 per cell]
Mn 0.0000 0.0000 0.5000 [2 per cell]
Ga 0.0000 0.2483 0.3801 [8 per cell]

***

Starting from a crystal structure in Alexandria, relaxed with GGA-PBE, the powder X-ray diffraction pattern of Hf3Mn2Ga6 was calculated for Cu Kα (λ = 1.5418 Å).
No peak broadening, texture or thermal motion is included.

Principal peaks in the range 2θ = 5–70°, in order of falling intensity:
d = 2.192 Å, intensity 1000; d = 2.207 Å, intensity 691; d = 2.556 Å, intensity 658; d = 2.202 Å, intensity 569; d = 2.179 Å, intensity 477; d = 2.539 Å, intensity 477; d = 3.097 Å, intensity 469; d = 2.127 Å, intensity 456; d = 2.687 Å, intensity 398; d = 2.311 Å, intensity 372

Cell and atoms:
abc: 5.3747 8.7152 7.6783
angles: 90.00 90.00 90.00
Space group Pmmn (No. 59, origin choice 2)
Symmetry-distinct sites (fractional):
Hf 0.2500 0.0310 0.1558 [4 per cell]
Hf 0.2500 0.7500 0.7181 [2 per cell]
Mn 0.0000 0.0000 0.5000 [4 per cell]
Ga 0.0104 0.7500 0.0409 [4 per cell]
Ga 0.2500 0.0627 0.7653 [4 per cell]
Ga 0.2500 0.2500 0.4388 [2 per cell]
Ga 0.2500 0.7500 0.3671 [2 per cell]

***

Starting from a crystal structure in Alexandria, relaxed with GGA-PBE, the powder X-ray diffraction pattern of Hf5Ga5Mo was calculated for Cu Kα (λ = 1.5418 Å).
No peak broadening, texture or thermal motion is included.

Principal peaks in the range 2θ = 5–70°, in order of falling intensity:
d = 2.566 Å, intensity 1000; d = 2.371 Å, intensity 727; d = 2.331 Å, intensity 609; d = 2.292 Å, intensity 575; d = 3.348 Å, intensity 530; d = 1.662 Å, intensity 491; d = 2.454 Å, intensity 394; d = 2.405 Å, intensity 296; d = 1.617 Å, intensity 245; d = 1.674 Å, intensity 195

Cell and atoms:
abc: 4.6617 14.4318 6.2915
angles: 90.00 90.00 90.00
Space group Cmmm (No. 65)
Symmetry-distinct sites (fractional):
Hf 0.0000 0.0000 0.0000 [2 per cell]
Hf 0.0000 0.3607 0.2362 [8 per cell]
Ga 0.0000 0.1887 0.5000 [4 per cell]
Ga 0.0000 0.1913 0.0000 [4 per cell]
Ga 0.0000 0.5000 0.5000 [2 per cell]
Mo 0.0000 0.0000 0.5000 [2 per cell]

***

Starting from a crystal structure in Alexandria, relaxed with GGA-PBE, the powder X-ray diffraction pattern of HfGa4Mo was calculated for Cu Kα (λ = 1.5418 Å).
No peak broadening, texture or thermal motion is included.

Principal peaks in the range 2θ = 5–70°, in order of falling intensity:
d = 3.461 Å, intensity 1000; d = 2.271 Å, intensity 664; d = 2.217 Å, intensity 636; d = 1.923 Å, intensity 400; d = 2.180 Å, intensity 281; d = 1.381 Å, intensity 265; d = 1.985 Å, intensity 227; d = 1.704 Å, intensity 130; d = 1.659 Å, intensity 119; d = 1.468 Å, intensity 79

Cell and atoms:
abc: 5.3466 7.9383 5.5363
angles: 90.00 90.00 90.00
Space group Cmmm (No. 65)
Symmetry-distinct sites (fractional):
Hf 0.0000 0.0000 0.0000 [2 per cell]
Ga 0.2500 0.2500 0.2680 [8 per cell]
Mo 0.0000 0.5000 0.5000 [2 per cell]

***

Starting from a crystal structure in Alexandria, relaxed with GGA-PBE, the powder X-ray diffraction pattern of HfGa2SnN was calculated for Cu Kα (λ = 1.5418 Å).
No peak broadening, texture or thermal motion is included.

Principal peaks in the range 2θ = 5–70°, in order of falling intensity:
d = 4.992 Å, intensity 1000; d = 2.496 Å, intensity 465; d = 1.850 Å, intensity 380; d = 2.973 Å, intensity 333; d = 2.413 Å, intensity 326; d = 2.757 Å, intensity 307; d = 2.233 Å, intensity 262; d = 1.735 Å, intensity 248; d = 1.486 Å, intensity 185; d = 1.765 Å, intensity 163

Cell and atoms:
abc: 4.9922 4.9922 5.5139
angles: 90.00 90.00 90.00
Space group P4/mmm (No. 123)
Symmetry-distinct sites (fractional):
Hf 0.0000 0.0000 0.0000 [1 per cell]
Ga 0.0000 0.5000 0.5000 [2 per cell]
Sn 0.0000 0.0000 0.5000 [1 per cell]
N 0.5000 0.5000 0.0000 [1 per cell]

***

Starting from a crystal structure in Alexandria, relaxed with GGA-PBE, the powder X-ray diffraction pattern of HfTh2GaN5 was calculated for Cu Kα (λ = 1.5418 Å).
No peak broadening, texture or thermal motion is included.

Principal peaks in the range 2θ = 5–70°, in order of falling intensity:
d = 2.894 Å, intensity 1000; d = 2.377 Å, intensity 969; d = 3.086 Å, intensity 904; d = 2.739 Å, intensity 807; d = 2.773 Å, intensity 561; d = 1.989 Å, intensity 417; d = 3.289 Å, intensity 413; d = 1.632 Å, intensity 359; d = 1.648 Å, intensity 336; d = 2.273 Å, intensity 314

Cell and atoms:
abc: 3.3842 13.9840 10.3171
angles: 90.00 90.00 90.00
Space group Cmc2_1 (No. 36)
Symmetry-distinct sites (fractional):
Hf 0.0000 0.2096 0.0000 [4 per cell]
Th 0.0000 0.1175 0.6922 [4 per cell]
Th 0.0000 0.1311 0.2904 [4 per cell]
Ga 0.0000 0.4848 0.4744 [4 per cell]
N 0.0000 0.0532 0.0509 [4 per cell]
N 0.0000 0.2882 0.6480 [4 per cell]
N 0.0000 0.3022 0.3617 [4 per cell]
N 0.0000 0.3632 0.0074 [4 per cell]
N 0.0000 0.4978 0.7837 [4 per cell]

***

Starting from a crystal structure in Alexandria, relaxed with GGA-PBE, the powder X-ray diffraction pattern of Hf3TiGa2N was calculated for Cu Kα (λ = 1.5418 Å).
No peak broadening, texture or thermal motion is included.

Principal peaks in the range 2θ = 5–70°, in order of falling intensity:
d = 2.267 Å, intensity 1000; d = 2.699 Å, intensity 882; d = 3.174 Å, intensity 465; d = 2.413 Å, intensity 446; d = 3.874 Å, intensity 365; d = 2.107 Å, intensity 363; d = 2.011 Å, intensity 315; d = 2.909 Å, intensity 281; d = 1.587 Å, intensity 242; d = 1.545 Å, intensity 221

Cell and atoms:
abc: 4.0211 4.2132 14.4776
angles: 90.00 90.00 90.00
Space group Immm (No. 71)
Symmetry-distinct sites (fractional):
Hf 0.0000 0.0000 0.0000 [2 per cell]
Hf 0.0000 0.5000 0.1634 [4 per cell]
Ti 0.0000 0.0000 0.5000 [2 per cell]
Ga 0.0000 0.5000 0.3594 [4 per cell]
N 0.0000 0.5000 0.0000 [2 per cell]

***

Starting from a crystal structure in Alexandria, relaxed with GGA-PBE, the powder X-ray diffraction pattern of Na2HfGa2O6 was calculated for Cu Kα (λ = 1.5418 Å).
No peak broadening, texture or thermal motion is included.

Principal peaks in the range 2θ = 5–70°, in order of falling intensity:
d = 5.705 Å, intensity 1000; d = 1.937 Å, intensity 603; d = 2.395 Å, intensity 492; d = 2.639 Å, intensity 467; d = 3.567 Å, intensity 309; d = 1.543 Å, intensity 172; d = 1.523 Å, intensity 166; d = 2.852 Å, intensity 165; d = 1.472 Å, intensity 139; d = 4.570 Å, intensity 92

Cell and atoms:
abc: 5.2770 5.2770 5.7050
angles: 90.00 90.00 120.00
Space group P-31m (No. 162)
Symmetry-distinct sites (fractional):
Na 0.3333 0.6667 0.0000 [2 per cell]
Hf 0.0000 0.0000 0.5000 [1 per cell]
Ga 0.3333 0.6667 0.5000 [2 per cell]
O 0.0000 0.3444 0.6890 [6 per cell]